1.
For Ge2OsSe6, the PBE geometry in Alexandria gives the calculated XRD peak list in this record (Cu Kα).

Peak list (6 most intense, 2θ = 15–90°, by intensity)
- hkl 3 1 0, 23.39°, rel. 100
- hkl 3 3 -1, 34.37°, rel. 87
- hkl 1 3 -3, 48.68°, rel. 79
- hkl 1 3 1, 29.68°, rel. 72
- hkl 5 3 1, 49.06°, rel. 71
- hkl 2 0 2, 33.66°, rel. 63

Atomic structure:
```
data_Ge2OsSe6
_chemical_formula_sum 'Ge8 Os4 Se24'
_symmetry_space_group_name_H-M 'C 1 2/c 1'
_symmetry_Int_Tables_number 15
_cell_length_a 12.3475
_cell_length_b 10.9474
_cell_length_c 6.5354
_cell_angle_alpha 90.00
_cell_angle_beta 99.85
_cell_angle_gamma 90.00
loop_
_symmetry_equiv_pos_as_xyz
'x,y,z'
'-x,-y,-z'
'-x,y,-z+1/2'
'x,-y,z+1/2'
'x+1/2,y+1/2,z'
'-x+1/2,-y+1/2,-z'
'-x+1/2,y+1/2,-z+1/2'
'x+1/2,-y+1/2,z+1/2'
loop_
_atom_site_label
_atom_site_fract_x
_atom_site_fract_y
_atom_site_fract_z
Ge1 0.2008 0.0871 0.3491
Os1 0.0000 0.3938 0.2500
Se1 0.0951 0.4119 0.6247
Se2 0.1230 0.0934 0.6644
Se3 0.1304 0.2624 0.1285
```

2.
For MnFeSiGe, the PBE geometry in Alexandria gives the calculated XRD peak list in this record (Cu Kα).

Peak list (6 most intense, 2θ = 15–90°, by intensity)
- hkl 1 1 1, 42.48°, rel. 100
- hkl 3 1 -1, 47.42°, rel. 79
- hkl 4 0 0, 43.62°, rel. 54
- hkl 2 0 -2, 44.85°, rel. 29
- hkl 1 1 -1, 39.10°, rel. 28
- hkl 0 0 2, 45.50°, rel. 27

Atomic structure:
```
data_MnFeSiGe
_chemical_formula_sum 'Mn2 Fe2 Si2 Ge2'
_symmetry_space_group_name_H-M 'C 1 m 1'
_symmetry_Int_Tables_number 8
_cell_length_a 8.6154
_cell_length_b 2.8042
_cell_length_c 4.1388
_cell_angle_alpha 90.00
_cell_angle_beta 105.57
_cell_angle_gamma 90.00
loop_
_symmetry_equiv_pos_as_xyz
'x,y,z'
'x,-y,z'
'x+1/2,y+1/2,z'
'x+1/2,-y+1/2,z'
loop_
_atom_site_label
_atom_site_fract_x
_atom_site_fract_y
_atom_site_fract_z
Mn1 0.0000 0.0000 0.0000
Fe1 0.2345 0.0000 0.6156
Si1 0.0014 0.5000 0.5035
Ge1 0.2444 0.5000 0.1262
```

3.
For Sc7CBr12, the PBE geometry in Alexandria gives the calculated XRD peak list in this record (Cu Kα).

Peak list (6 most intense, 2θ = 15–90°, by intensity)
- hkl 3 1 2, 32.87°, rel. 100
- hkl 4 -3 1, 28.24°, rel. 51
- hkl 2 5 0, 46.84°, rel. 34
- hkl 4 -3 4, 47.50°, rel. 31
- hkl 2 5 3, 55.89°, rel. 17
- hkl 0 0 3, 28.75°, rel. 16

Atomic structure:
```
data_Sc7CBr12
_chemical_formula_sum 'Sc21 C3 Br36'
_symmetry_space_group_name_H-M 'R 3'
_symmetry_Int_Tables_number 146
_symmetry_space_group_name_Hall 'R 3'
_cell_length_a 13.9852
_cell_length_b 13.9852
_cell_length_c 9.3164
_cell_angle_alpha 90.00
_cell_angle_beta 90.00
_cell_angle_gamma 120.00
loop_
_atom_site_label
_atom_site_fract_x
_atom_site_fract_y
_atom_site_fract_z
Sc1 0.0000 0.0000 0.0000
Sc2 0.0429 0.1525 0.3895
Sc3 0.1477 0.1062 0.6683
C1 0.0000 0.0000 0.5226
Br1 0.0309 0.5898 0.1891
Br2 0.0530 0.1843 0.8568
Br3 0.1104 0.3636 0.1948
Br4 0.1718 0.1224 0.1906
```

4.
For Li2Mo, the PBE geometry in Alexandria gives the calculated XRD peak list in this record (Cu Kα).

Peak list (6 most intense, 2θ = 15–90°, by intensity)
- hkl 0 1 1, 40.20°, rel. 100
- hkl 1 0 2, 45.43°, rel. 71
- hkl 0 0 2, 23.46°, rel. 59
- hkl 1 0 0, 38.33°, rel. 49
- hkl 1 0 3, 53.24°, rel. 36
- hkl 0 0 3, 35.52°, rel. 27

Atomic structure:
```
data_Li2Mo
_chemical_formula_sum 'Li2 Mo1'
_symmetry_space_group_name_H-M 'P -3 m 1'
_symmetry_Int_Tables_number 164
_symmetry_space_group_name_Hall '-P 3 2"'
_cell_length_a 2.7119
_cell_length_b 2.7119
_cell_length_c 7.5825
_cell_angle_alpha 90.00
_cell_angle_beta 90.00
_cell_angle_gamma 120.00
loop_
_atom_site_label
_atom_site_fract_x
_atom_site_fract_y
_atom_site_fract_z
Li1 0.3333 0.6667 0.3234
Mo1 0.0000 0.0000 0.0000
```

5.
For HoTl2OsO6, the PBE geometry in Alexandria gives the calculated XRD peak list in this record (Cu Kα).

Peak list (6 most intense, 2θ = 15–90°, by intensity)
- hkl 1 1 0, 27.74°, rel. 100
- hkl 1 1 2, 42.22°, rel. 65
- hkl 0 0 1, 15.45°, rel. 49
- hkl 1 1 1, 31.90°, rel. 43
- hkl 1 0 0, 15.91°, rel. 27
- hkl 0 3 2, 59.29°, rel. 25

Atomic structure:
```
data_HoTl2OsO6
_chemical_formula_sum 'Ho1 Tl2 Os1 O6'
_symmetry_space_group_name_H-M 'P -3 m 1'
_symmetry_Int_Tables_number 164
_symmetry_space_group_name_Hall '-P 3 2"'
_cell_length_a 6.4320
_cell_length_b 6.4320
_cell_length_c 5.7351
_cell_angle_alpha 90.00
_cell_angle_beta 90.00
_cell_angle_gamma 120.00
loop_
_atom_site_label
_atom_site_fract_x
_atom_site_fract_y
_atom_site_fract_z
Ho1 0.0000 0.0000 0.0000
Tl1 0.3333 0.6667 0.4602
Os1 0.0000 0.0000 0.5000
O1 0.1372 0.2745 0.7028
```

6.
For Mg5Cd6In, the PBE geometry in Alexandria gives the calculated XRD peak list in this record (Cu Kα).

Peak list (6 most intense, 2θ = 15–90°, by intensity)
- hkl 2 2 1, 34.56°, rel. 100
- hkl 4 2 -1, 35.19°, rel. 95
- hkl 2 0 -2, 39.56°, rel. 69
- hkl 0 2 0, 20.78°, rel. 41
- hkl 2 4 -2, 59.30°, rel. 38
- hkl 0 4 0, 42.30°, rel. 27

Atomic structure:
```
data_Mg5Cd6In
_chemical_formula_sum 'Mg10 Cd12 In2'
_symmetry_space_group_name_H-M 'C 1 2/m 1'
_symmetry_Int_Tables_number 12
_cell_length_a 14.3028
_cell_length_b 8.5470
_cell_length_c 4.5545
_cell_angle_alpha 90.00
_cell_angle_beta 107.00
_cell_angle_gamma 90.00
loop_
_symmetry_equiv_pos_as_xyz
'x,y,z'
'-x,-y,-z'
'-x,y,-z'
'x,-y,z'
'x+1/2,y+1/2,z'
'-x+1/2,-y+1/2,-z'
'-x+1/2,y+1/2,-z'
'x+1/2,-y+1/2,z'
loop_
_atom_site_label
_atom_site_fract_x
_atom_site_fract_y
_atom_site_fract_z
Mg1 0.0000 0.0000 0.0000
Mg2 0.1611 0.5000 0.6606
Mg3 0.1696 0.0000 0.6717
Cd1 0.0000 0.2380 0.5000
Cd2 0.1695 0.2432 0.1700
In1 0.0000 0.5000 0.0000
```

7.
For Na3Tl5, the PBE geometry in Alexandria gives the calculated XRD peak list in this record (Cu Kα).

Peak list (6 most intense, 2θ = 15–90°, by intensity)
- hkl 2 2 1, 31.86°, rel. 100
- hkl 0 2 1, 25.33°, rel. 21
- hkl 2 0 0, 19.01°, rel. 21
- hkl 0 0 2, 35.61°, rel. 19
- hkl 0 4 0, 36.65°, rel. 17
- hkl 2 2 3, 61.62°, rel. 15

Atomic structure:
```
data_Na3Tl5
_chemical_formula_sum 'Na6 Tl10'
_symmetry_space_group_name_H-M 'C m m m'
_symmetry_Int_Tables_number 65
_symmetry_space_group_name_Hall '-C 2 2'
_cell_length_a 9.3389
_cell_length_b 9.8086
_cell_length_c 5.0427
_cell_angle_alpha 90.00
_cell_angle_beta 90.00
_cell_angle_gamma 90.00
loop_
_atom_site_label
_atom_site_fract_x
_atom_site_fract_y
_atom_site_fract_z
Na1 0.0000 0.0000 0.0000
Na2 0.0000 0.2642 0.5000
Tl1 0.0000 0.5000 0.0000
Tl2 0.2397 0.0000 0.5000
Tl3 0.2500 0.2500 0.0000
```

8.
For Na5MnCl8, the PBE geometry in Alexandria gives the calculated XRD peak list in this record (Cu Kα).

Peak list (6 most intense, 2θ = 15–90°, by intensity)
- hkl 4 4 0, 44.10°, rel. 100
- hkl 4 0 0, 30.79°, rel. 67
- hkl 3 1 1, 25.43°, rel. 61
- hkl 2 2 2, 26.58°, rel. 59
- hkl 2 0 0, 15.25°, rel. 32
- hkl 2 2 0, 21.64°, rel. 30

Atomic structure:
```
data_Na5MnCl8
_chemical_formula_sum 'Na20 Mn4 Cl32'
_symmetry_space_group_name_H-M 'F -4 3 m'
_symmetry_Int_Tables_number 216
_symmetry_space_group_name_Hall 'F -4 2 3'
_cell_length_a 11.6176
_cell_length_b 11.6176
_cell_length_c 11.6176
_cell_angle_alpha 90.00
_cell_angle_beta 90.00
_cell_angle_gamma 90.00
loop_
_atom_site_label
_atom_site_fract_x
_atom_site_fract_y
_atom_site_fract_z
Na1 0.0000 0.0000 0.0000
Na2 0.1381 0.1381 0.6381
Mn1 0.2500 0.2500 0.2500
Cl1 0.1312 0.1312 0.8688
Cl2 0.1380 0.1380 0.3620
```